1.
Diffraction record for Sc4IrAu. The powder diffraction line list is computed, not measured: it uses a DFT-relaxed cell (GGA-PBE, Alexandria) and Cu Kα.

abc: 7.7063 4.5187 14.6579
angles: 90.00 90.00 90.00
Space group Pnma (No. 62)
Asymmetric unit:
Sc 0.0158 0.2500 0.0833 [4 per cell]
Sc 0.0843 0.2500 0.7712 [4 per cell]
Sc 0.1330 0.2500 0.3372 [4 per cell]
Sc 0.1502 0.2500 0.5651 [4 per cell]
Ir 0.1953 0.7500 0.6798 [4 per cell]
Au 0.2473 0.7500 0.4427 [4 per cell]

Largest 12 diffraction maxima, low angle first, 2θ = 10–90°:
| 2θ (°) | I_rel | (hkl) |
| --- | --- | --- |
| 23.1 | 493 | 2 0 0 |
| 23.6 | 1000 | 1 1 1 |
| 26.9 | 891 | 1 0 4 |
| 33.6 | 274 | 1 1 4 |
| 35.7 | 626 | 2 1 3 |
| 36.5 | 566 | 0 1 5 |
| 39.9 | 445 | 0 2 0 |
| 40.9 | 292 | 3 1 1 |
| 43.0 | 294 | 3 0 4 |
| 43.7 | 399 | 2 1 5 |
| 48.8 | 321 | 1 2 4 |
| 60.1 | 216 | 3 2 4 |

---

2.
Diffraction record for Sc8IrAu2. The powder diffraction line list is computed, not measured: it uses a DFT-relaxed cell (GGA-PBE, Alexandria) and Cu Kα.

abc: 4.6656 7.5839 13.0300
angles: 90.00 90.00 90.00
Space group Immm (No. 71)
Asymmetric unit:
Sc 0.0000 0.0000 0.1245 [4 per cell]
Sc 0.0000 0.2224 0.3460 [8 per cell]
Sc 0.0000 0.3266 0.0000 [4 per cell]
Ir 0.0000 0.5000 0.5000 [2 per cell]
Au 0.0000 0.5000 0.2000 [4 per cell]

Largest 12 diffraction maxima, low angle first, 2θ = 10–90°:
| 2θ (°) | I_rel | (hkl) |
| --- | --- | --- |
| 22.4 | 719 | 1 1 0 |
| 23.5 | 257 | 0 2 0 |
| 23.6 | 469 | 0 1 3 |
| 28.1 | 152 | 1 0 3 |
| 35.6 | 384 | 1 1 4 |
| 36.4 | 158 | 0 1 5 |
| 36.9 | 1000 | 1 2 3 |
| 38.6 | 316 | 2 0 0 |
| 40.6 | 155 | 1 3 0 |
| 45.7 | 267 | 2 2 0 |
| 48.0 | 129 | 0 4 0 |
| 68.7 | 155 | 3 2 3 |

---

3.
Diffraction record for Si2IrAu. The powder diffraction line list is computed, not measured: it uses a DFT-relaxed cell (GGA-PBE, Alexandria) and Cu Kα.

abc: 3.0565 4.7536 4.6991
angles: 90.00 108.75 90.00
Space group Pm (No. 6)
Asymmetric unit:
Si 0.0000 0.0000 0.0000 [1 per cell]
Si 0.3849 0.5000 0.7648 [1 per cell]
Ir 0.0900 0.5000 0.1799 [1 per cell]
Au 0.2794 0.0000 0.5524 [1 per cell]

Largest 12 diffraction maxima, low angle first, 2θ = 10–90°:
| 2θ (°) | I_rel | (hkl) |
| --- | --- | --- |
| 20.0 | 118 | 0 0 1 |
| 27.5 | 1000 | 0 1 1 |
| 30.9 | 872 | 1 0 -1 |
| 36.4 | 251 | 1 1 0 |
| 37.9 | 427 | 0 2 0 |
| 40.5 | 126 | 0 0 2 |
| 45.0 | 297 | 0 1 2 |
| 46.7 | 395 | 1 1 1 |
| 46.8 | 393 | 1 1 -2 |
| 49.7 | 474 | 1 2 -1 |
| 73.4 | 140 | 0 3 2 |
| 73.7 | 124 | 2 2 -1 |

---

4.
Diffraction record for Sm8Ir3Au2. The powder diffraction line list is computed, not measured: it uses a DFT-relaxed cell (GGA-PBE, Alexandria) and Cu Kα.

abc: 10.0639 14.3583 4.9447
angles: 90.00 90.00 90.00
Space group Cmmm (No. 65)
Asymmetric unit:
Sm 0.0000 0.1168 0.0000 [4 per cell]
Sm 0.0000 0.3817 0.0000 [4 per cell]
Sm 0.2455 0.3821 0.5000 [8 per cell]
Ir 0.0000 0.5000 0.5000 [2 per cell]
Ir 0.2449 0.0000 0.0000 [4 per cell]
Au 0.0000 0.2415 0.5000 [4 per cell]

Largest 12 diffraction maxima, low angle first, 2θ = 10–90°:
| 2θ (°) | I_rel | (hkl) |
| --- | --- | --- |
| 21.6 | 103 | 2 2 0 |
| 21.8 | 103 | 0 2 1 |
| 35.7 | 1000 | 4 0 0 |
| 36.3 | 195 | 0 0 2 |
| 50.9 | 68 | 0 8 0 |
| 51.8 | 141 | 4 0 2 |
| 63.7 | 68 | 4 8 0 |
| 64.1 | 212 | 6 4 1 |
| 65.0 | 147 | 2 4 3 |
| 75.6 | 107 | 8 0 0 |
| 85.7 | 54 | 2 12 1 |
| 87.3 | 64 | 6 4 3 |

---

5.
Diffraction record for Sm3Ir2Au. The powder diffraction line list is computed, not measured: it uses a DFT-relaxed cell (GGA-PBE, Alexandria) and Cu Kα.

abc: 3.5290 3.5290 10.9567
angles: 90.00 90.00 90.00
Space group P4/mmm (No. 123)
Asymmetric unit:
Sm 0.0000 0.0000 0.0000 [1 per cell]
Sm 0.0000 0.0000 0.3139 [2 per cell]
Ir 0.5000 0.5000 0.1631 [2 per cell]
Au 0.5000 0.5000 0.5000 [1 per cell]

Largest 12 diffraction maxima, low angle first, 2θ = 10–90°:
| 2θ (°) | I_rel | (hkl) |
| --- | --- | --- |
| 25.2 | 18 | 1 0 0 |
| 35.4 | 1000 | 1 0 3 |
| 36.0 | 497 | 1 1 0 |
| 49.9 | 84 | 0 0 6 |
| 51.8 | 177 | 2 0 0 |
| 63.1 | 167 | 1 1 6 |
| 64.3 | 357 | 2 1 3 |
| 74.8 | 102 | 2 0 6 |
| 76.3 | 57 | 2 2 0 |
| 84.1 | 63 | 1 0 9 |
| 87.0 | 81 | 3 0 3 |
| 87.4 | 83 | 3 1 0 |

---

6.
Diffraction record for Sn5IrAu2. The powder diffraction line list is computed, not measured: it uses a DFT-relaxed cell (GGA-PBE, Alexandria) and Cu Kα.

abc: 4.9969 13.7385 13.8783
angles: 90.00 90.00 90.00
Space group Cmcm (No. 63)
Asymmetric unit:
Sn 0.0000 0.0581 0.1304 [8 per cell]
Sn 0.0000 0.2250 0.7500 [4 per cell]
Sn 0.0000 0.2896 0.0738 [8 per cell]
Ir 0.0000 0.2008 0.2500 [4 per cell]
Au 0.0000 0.1242 0.5631 [8 per cell]

Largest 12 diffraction maxima, low angle first, 2θ = 10–90°:
| 2θ (°) | I_rel | (hkl) |
| --- | --- | --- |
| 12.9 | 382 | 0 2 0 |
| 18.9 | 1000 | 1 1 0 |
| 23.2 | 458 | 0 2 3 |
| 28.8 | 201 | 0 2 4 |
| 32.5 | 200 | 0 4 3 |
| 34.9 | 210 | 0 2 5 |
| 35.9 | 532 | 2 0 0 |
| 39.6 | 428 | 1 5 2 |
| 42.1 | 318 | 1 3 5 |
| 42.3 | 301 | 1 5 3 |
| 43.2 | 184 | 2 2 3 |
| 51.7 | 204 | 1 7 2 |

---

7.
Diffraction record for SrYIrAu. The powder diffraction line list is computed, not measured: it uses a DFT-relaxed cell (GGA-PBE, Alexandria) and Cu Kα.

abc: 7.1908 7.1908 7.1908
angles: 90.00 90.00 90.00
Space group F-43m (No. 216)
Asymmetric unit:
Sr 0.0000 0.0000 0.0000 [4 per cell]
Y 0.0000 0.0000 0.5000 [4 per cell]
Ir 0.2500 0.2500 0.7500 [4 per cell]
Au 0.2500 0.2500 0.2500 [4 per cell]

Largest 9 diffraction maxima, low angle first, 2θ = 10–90°:
| 2θ (°) | I_rel | (hkl) |
| --- | --- | --- |
| 24.8 | 161 | 2 0 0 |
| 35.3 | 1000 | 2 2 0 |
| 43.6 | 52 | 2 2 2 |
| 50.8 | 178 | 4 0 0 |
| 57.3 | 72 | 4 2 0 |
| 63.4 | 367 | 4 2 2 |
| 74.7 | 114 | 4 4 0 |
| 80.1 | 36 | 6 0 0 |
| 85.4 | 166 | 6 2 0 |

---

8.
Diffraction record for Tb3IrAu2. The powder diffraction line list is computed, not measured: it uses a DFT-relaxed cell (GGA-PBE, Alexandria) and Cu Kα.

abc: 5.0249 15.0011 7.1809
angles: 90.00 90.00 90.00
Space group Cmmm (No. 65)
Asymmetric unit:
Tb 0.0000 0.0000 0.2406 [4 per cell]
Tb 0.0000 0.3293 0.2364 [8 per cell]
Ir 0.0000 0.1660 0.0000 [4 per cell]
Au 0.0000 0.1669 0.5000 [4 per cell]
Au 0.0000 0.5000 0.0000 [2 per cell]
Au 0.0000 0.5000 0.5000 [2 per cell]

Largest 12 diffraction maxima, low angle first, 2θ = 10–90°:
| 2θ (°) | I_rel | (hkl) |
| --- | --- | --- |
| 35.6 | 1000 | 1 3 2 |
| 35.7 | 250 | 2 0 0 |
| 35.9 | 245 | 0 6 0 |
| 50.9 | 89 | 0 0 4 |
| 51.6 | 177 | 2 6 0 |
| 63.7 | 91 | 2 0 4 |
| 63.8 | 89 | 0 6 4 |
| 64.1 | 183 | 3 3 2 |
| 64.3 | 179 | 1 9 2 |
| 75.4 | 111 | 2 6 4 |
| 85.7 | 79 | 1 3 6 |
| 86.8 | 124 | 4 6 0 |

---

9.
Diffraction record for TeIr2Au. The powder diffraction line list is computed, not measured: it uses a DFT-relaxed cell (GGA-PBE, Alexandria) and Cu Kα.

abc: 4.3264 4.3264 3.7151
angles: 90.00 90.00 90.00
Space group P4/mmm (No. 123)
Asymmetric unit:
Te 0.0000 0.0000 0.0000 [1 per cell]
Ir 0.0000 0.5000 0.5000 [2 per cell]
Au 0.5000 0.5000 0.0000 [1 per cell]

Largest 12 diffraction maxima, low angle first, 2θ = 10–90°:
| 2θ (°) | I_rel | (hkl) |
| --- | --- | --- |
| 20.5 | 24 | 1 0 0 |
| 31.7 | 18 | 1 0 1 |
| 38.1 | 1000 | 1 1 1 |
| 41.8 | 388 | 2 0 0 |
| 47.0 | 7 | 2 1 0 |
| 49.0 | 123 | 0 0 2 |
| 53.4 | 9 | 2 1 1 |
| 60.5 | 131 | 2 2 0 |
| 66.3 | 200 | 2 0 2 |
| 73.8 | 294 | 3 1 1 |
| 81.5 | 114 | 2 2 2 |
| 84.4 | 106 | 1 1 3 |

---

10.
Diffraction record for Th4Ir3Au. The powder diffraction line list is computed, not measured: it uses a DFT-relaxed cell (GGA-PBE, Alexandria) and Cu Kα.

abc: 8.4267 11.7980 4.1573
angles: 90.00 90.00 90.00
Space group Cmm2 (No. 35)
Asymmetric unit:
Th 0.0000 0.2428 0.0000 [4 per cell]
Th 0.2338 0.0000 0.4991 [4 per cell]
Ir 0.0000 0.0000 0.9992 [2 per cell]
Ir 0.2500 0.2500 0.5001 [4 per cell]
Au 0.0000 0.5000 0.9990 [2 per cell]

Largest 12 diffraction maxima, low angle first, 2θ = 10–90°:
| 2θ (°) | I_rel | (hkl) |
| --- | --- | --- |
| 30.2 | 1000 | 2 0 1 |
| 30.3 | 497 | 0 4 0 |
| 42.9 | 189 | 4 0 0 |
| 43.3 | 757 | 2 4 1 |
| 43.5 | 190 | 0 0 2 |
| 53.4 | 200 | 4 4 0 |
| 54.0 | 203 | 0 4 2 |
| 62.8 | 125 | 4 0 2 |
| 71.3 | 172 | 4 4 2 |
| 71.5 | 172 | 2 8 1 |
| 78.9 | 124 | 6 4 1 |
| 79.8 | 197 | 2 4 3 |

---

11.
Diffraction record for ThZn5IrAu4. The powder diffraction line list is computed, not measured: it uses a DFT-relaxed cell (GGA-PBE, Alexandria) and Cu Kα.

abc: 4.9174 4.9174 8.7142
angles: 90.00 90.00 90.00
Space group P4/mmm (No. 123)
Asymmetric unit:
Th 0.0000 0.0000 0.0000 [1 per cell]
Zn 0.0000 0.0000 0.5000 [1 per cell]
Zn 0.0000 0.5000 0.1955 [4 per cell]
Ir 0.5000 0.5000 0.0000 [1 per cell]
Au 0.0000 0.5000 0.5000 [2 per cell]
Au 0.5000 0.5000 0.3250 [2 per cell]

Largest 12 diffraction maxima, low angle first, 2θ = 10–90°:
| 2θ (°) | I_rel | (hkl) |
| --- | --- | --- |
| 18.0 | 164 | 1 0 0 |
| 20.4 | 133 | 0 0 2 |
| 27.3 | 170 | 1 0 2 |
| 27.6 | 303 | 1 1 1 |
| 35.9 | 135 | 1 0 3 |
| 36.5 | 855 | 2 0 0 |
| 40.5 | 1000 | 1 1 3 |
| 52.6 | 301 | 2 2 0 |
| 56.4 | 133 | 2 0 4 |
| 68.4 | 428 | 3 1 3 |
| 76.1 | 163 | 2 0 6 |
| 89.0 | 142 | 4 2 0 |

---

12.
Diffraction record for TiIrAu. The powder diffraction line list is computed, not measured: it uses a DFT-relaxed cell (GGA-PBE, Alexandria) and Cu Kα.

abc: 2.9902 14.0697 4.6171
angles: 90.00 90.00 90.00
Space group Amm2 (No. 38)
Asymmetric unit:
Ti 0.0000 0.1668 0.0000 [4 per cell]
Ir 0.5000 0.1839 0.4958 [4 per cell]
Au 0.0000 0.0000 0.3305 [2 per cell]
Au 0.5000 0.0000 0.8266 [2 per cell]

Largest 12 diffraction maxima, low angle first, 2θ = 10–90°:
| 2θ (°) | I_rel | (hkl) |
| --- | --- | --- |
| 25.3 | 157 | 0 4 0 |
| 27.1 | 178 | 0 3 1 |
| 36.4 | 305 | 1 1 1 |
| 38.4 | 344 | 0 6 0 |
| 40.8 | 1000 | 1 3 1 |
| 41.2 | 337 | 0 2 2 |
| 47.1 | 122 | 0 4 2 |
| 48.6 | 171 | 1 5 1 |
| 58.9 | 115 | 1 7 1 |
| 69.0 | 170 | 1 1 3 |
| 71.0 | 134 | 1 9 1 |
| 77.6 | 173 | 1 5 3 |